1.
This entry pairs a crystal structure of Rb3Au7 with its computed X-ray diffraction stick pattern. Radiation: Cu Kα (weighted mean of Kα1 and Kα2). Structure: a structure optimized by DFT (GGA-PBE).

Largest 12 diffraction maxima, sorted by position, 2θ = 10–80°:
- 2θ = 12.01°, d = 7.369 Å, I 35
- 2θ = 16.83°, d = 5.267 Å, I 100
- 2θ = 17.69°, d = 5.013 Å, I 31
- 2θ = 27.82°, d = 3.207 Å, I 52
- 2θ = 29.59°, d = 3.019 Å, I 29
- 2θ = 34.04°, d = 2.633 Å, I 28
- 2θ = 35.04°, d = 2.561 Å, I 28
- 2θ = 35.82°, d = 2.507 Å, I 54
- 2θ = 40.52°, d = 2.226 Å, I 30
- 2θ = 41.20°, d = 2.191 Å, I 25
- 2θ = 48.93°, d = 1.862 Å, I 31
- 2θ = 57.46°, d = 1.604 Å, I 31

Atomic structure:
```
Rb3Au7
1.0
2.853 -6.840 0.000
2.853 6.840 0.000
0.000 0.000 7.369
Rb Au
3 7
Direct
0.000 0.000 0.000
0.162 0.838 0.500
0.838 0.162 0.500
0.000 0.500 0.000
0.392 0.608 0.197
0.392 0.608 0.803
0.500 0.000 0.000
0.500 0.500 0.500
0.608 0.392 0.197
0.608 0.392 0.803
```

=====

2.
This entry pairs a crystal structure of LaSn2Ge2Pt7 with its computed X-ray diffraction stick pattern. Radiation: Cu Kα (weighted mean of Kα1 and Kα2). Structure: a structure optimized by DFT (GGA-PBE).

Largest 12 diffraction maxima, sorted by position, 2θ = 10–80°:
- 2θ = 22.47°, d = 3.958 Å, I 34
- 2θ = 28.16°, d = 3.168 Å, I 28
- 2θ = 32.27°, d = 2.774 Å, I 46
- 2θ = 33.77°, d = 2.655 Å, I 42
- 2θ = 36.13°, d = 2.486 Å, I 100
- 2θ = 39.24°, d = 2.296 Å, I 35
- 2θ = 39.83°, d = 2.263 Å, I 29
- 2θ = 42.96°, d = 2.105 Å, I 45
- 2θ = 45.53°, d = 1.992 Å, I 75
- 2θ = 47.17°, d = 1.927 Å, I 33
- 2θ = 62.06°, d = 1.495 Å, I 32
- 2θ = 66.36°, d = 1.409 Å, I 25

Atomic structure:
```
LaSn2Ge2Pt7
1.0
2.817 -2.818 0.000
2.817 2.818 0.000
-2.787 0.000 15.842
La Sn Ge Pt
1 2 2 7
Direct
0.000 0.000 0.000
0.213 0.213 0.427
0.787 0.787 0.573
0.379 0.379 0.757
0.621 0.621 0.243
0.073 0.573 0.148
0.300 0.300 0.602
0.427 0.927 0.852
0.500 0.500 0.000
0.573 0.073 0.148
0.700 0.700 0.398
0.927 0.427 0.852
```

=====

3.
This entry pairs a crystal structure of Sc4Zn2Cd5 with its computed X-ray diffraction stick pattern. Radiation: Cu Kα (weighted mean of Kα1 and Kα2). Structure: a structure optimized by DFT (GGA-PBE).

Largest 12 diffraction maxima, sorted by position, 2θ = 10–80°:
- 2θ = 26.39°, d = 3.377 Å, I 100
- 2θ = 31.95°, d = 2.801 Å, I 35
- 2θ = 34.51°, d = 2.599 Å, I 57
- 2θ = 35.41°, d = 2.535 Å, I 61
- 2θ = 35.95°, d = 2.498 Å, I 41
- 2θ = 36.31°, d = 2.474 Å, I 33
- 2θ = 36.98°, d = 2.431 Å, I 47
- 2θ = 37.69°, d = 2.387 Å, I 40
- 2θ = 39.01°, d = 2.309 Å, I 45
- 2θ = 39.79°, d = 2.265 Å, I 38
- 2θ = 40.18°, d = 2.244 Å, I 35
- 2θ = 54.33°, d = 1.689 Å, I 35

Atomic structure:
```
Sc4Zn2Cd5
1.0
7.438 0.000 0.000
0.000 3.378 0.000
-0.611 0.000 9.318
Sc Zn Cd
4 2 5
Direct
0.172 0.000 0.366
0.244 0.000 0.936
0.756 0.000 0.064
0.828 0.000 0.634
0.064 0.500 0.130
0.936 0.500 0.870
0.175 0.500 0.652
0.445 0.500 0.181
0.500 0.500 0.500
0.555 0.500 0.819
0.825 0.500 0.348
```

=====

4.
This entry pairs a crystal structure of NaSm2P2N6 with its computed X-ray diffraction stick pattern. Radiation: Cu Kα (weighted mean of Kα1 and Kα2). Structure: a structure optimized by DFT (GGA-PBE).

Largest 12 diffraction maxima, sorted by position, 2θ = 10–80°:
- 2θ = 16.93°, d = 5.238 Å, I 44
- 2θ = 17.60°, d = 5.038 Å, I 52
- 2θ = 18.29°, d = 4.852 Å, I 100
- 2θ = 19.38°, d = 4.579 Å, I 89
- 2θ = 21.81°, d = 4.074 Å, I 56
- 2θ = 25.90°, d = 3.440 Å, I 75
- 2θ = 28.79°, d = 3.101 Å, I 71
- 2θ = 30.48°, d = 2.932 Å, I 63
- 2θ = 31.85°, d = 2.810 Å, I 36
- 2θ = 32.13°, d = 2.786 Å, I 95
- 2θ = 32.55°, d = 2.751 Å, I 80
- 2θ = 34.41°, d = 2.607 Å, I 53

Atomic structure:
```
NaSm2P2N6
1.0
5.812 0.000 0.000
-2.753 5.652 0.000
-2.277 -2.232 5.505
Na Sm P N
1 2 2 6
Direct
0.000 0.000 0.000
0.376 0.669 0.296
0.624 0.331 0.704
0.296 0.740 0.743
0.704 0.260 0.257
0.145 0.694 0.907
0.254 0.885 0.564
0.495 0.634 0.729
0.505 0.366 0.271
0.746 0.115 0.436
0.855 0.306 0.093
```

=====

5.
This entry pairs a crystal structure of Sr2Al7Ge with its computed X-ray diffraction stick pattern. Radiation: Cu Kα (weighted mean of Kα1 and Kα2). Structure: a structure optimized by DFT (GGA-PBE).

Largest 12 diffraction maxima, sorted by position, 2θ = 10–80°:
- 2θ = 15.92°, d = 5.566 Å, I 12
- 2θ = 21.43°, d = 4.146 Å, I 13
- 2θ = 28.25°, d = 3.159 Å, I 40
- 2θ = 31.34°, d = 2.854 Å, I 89
- 2θ = 32.59°, d = 2.748 Å, I 100
- 2θ = 40.37°, d = 2.234 Å, I 58
- 2θ = 45.52°, d = 1.993 Å, I 40
- 2θ = 51.98°, d = 1.759 Å, I 42
- 2θ = 57.62°, d = 1.600 Å, I 12
- 2θ = 58.42°, d = 1.580 Å, I 19
- 2θ = 62.45°, d = 1.487 Å, I 31
- 2θ = 68.52°, d = 1.369 Å, I 23

Atomic structure:
```
Sr2Al7Ge
1.0
4.468 0.000 0.000
0.000 4.468 0.000
0.000 0.000 11.131
Sr Al Ge
2 7 1
Direct
0.000 0.000 0.000
0.500 0.500 0.495
0.000 0.000 0.380
0.000 0.500 0.247
0.000 0.500 0.748
0.500 0.000 0.247
0.500 0.000 0.748
0.500 0.500 0.114
0.500 0.500 0.877
0.000 0.000 0.613
```

=====

6.
This entry pairs a crystal structure of Bi5BrO7 with its computed X-ray diffraction stick pattern. Radiation: Cu Kα (weighted mean of Kα1 and Kα2). Structure: a structure optimized by DFT (GGA-PBE).

Largest 12 diffraction maxima, sorted by position, 2θ = 10–80°:
- 2θ = 10.72°, d = 8.252 Å, I 14
- 2θ = 13.05°, d = 6.784 Å, I 7
- 2θ = 27.47°, d = 3.247 Å, I 100
- 2θ = 30.00°, d = 2.979 Å, I 18
- 2θ = 32.55°, d = 2.751 Å, I 20
- 2θ = 32.84°, d = 2.727 Å, I 13
- 2θ = 44.85°, d = 2.021 Å, I 13
- 2θ = 45.07°, d = 2.011 Å, I 10
- 2θ = 46.92°, d = 1.937 Å, I 11
- 2θ = 51.73°, d = 1.767 Å, I 13
- 2θ = 55.04°, d = 1.669 Å, I 15
- 2θ = 56.69°, d = 1.624 Å, I 16

Atomic structure:
```
Bi5BrO7
1.0
8.252 -2.727 0.000
8.252 2.727 0.000
0.000 0.000 23.831
Bi Br O
20 4 28
Direct
0.008 0.640 0.691
0.042 0.614 0.439
0.114 0.542 0.939
0.140 0.508 0.191
0.205 0.795 0.798
0.295 0.705 0.298
0.360 0.992 0.691
0.386 0.958 0.439
0.458 0.886 0.939
0.492 0.860 0.191
0.508 0.140 0.809
0.542 0.114 0.061
0.614 0.042 0.561
0.640 0.008 0.309
0.705 0.295 0.702
0.795 0.205 0.202
0.860 0.492 0.809
0.886 0.458 0.061
0.958 0.386 0.561
0.992 0.360 0.309
0.158 0.842 0.605
0.342 0.658 0.105
0.658 0.342 0.895
0.842 0.158 0.395
0.006 0.609 0.351
0.038 0.370 0.451
0.044 0.119 0.746
0.109 0.506 0.851
0.119 0.044 0.254
0.130 0.462 0.049
0.227 0.273 0.750
0.273 0.227 0.250
0.370 0.038 0.549
0.381 0.456 0.754
0.391 0.994 0.351
0.456 0.381 0.246
0.462 0.130 0.951
0.494 0.891 0.851
0.506 0.109 0.149
0.538 0.870 0.049
0.544 0.619 0.754
0.609 0.006 0.649
0.619 0.544 0.246
0.630 0.962 0.451
0.727 0.773 0.750
0.773 0.727 0.250
0.870 0.538 0.951
0.881 0.956 0.746
0.891 0.494 0.149
0.956 0.881 0.254
0.962 0.630 0.549
0.994 0.391 0.649
```